Entry 1:
This entry pairs a crystal structure of TlRh5 with its computed powder X-ray diffraction pattern. Radiation: Cu Kα (λ = 1.5418 Å). Structure: a GGA-PBE-relaxed structure.

Atomic structure:
Lattice parameters (Å, degrees): 4.8690 4.8690 13.5458 90.00 90.00 120.00
Space group R32 (No. 155, hexagonal axes)
Asymmetric unit:
Tl  0.0000  0.0000  0.0000 (multiplicity 3)
Rh  0.0000  0.0000  0.3288 (multiplicity 6)
Rh  0.0000  0.6782  0.5000 (multiplicity 9)

Main lines, low angle first (10 to 80 degrees two-theta):
| h k l | Position (°2θ) | intensity |
| --- | --- | --- |
| 1 0 1 | 22.08 | 5 |
| 0 1 2 | 24.87 | 5 |
| 1 0 4 | 33.95 | 4 |
| 1 1 0 | 36.92 | 25 |
| 0 0 6 | 39.93 | 26 |
| 1 1 3 | 42.17 | 100 |
| 1 1 6 | 55.51 | 15 |
| 3 0 0 | 66.53 | 17 |
| 1 1 9 | 74.05 | 18 |
| 2 2 0 | 78.59 | 3 |

Entry 2:
This entry pairs a crystal structure of Ba3Zn8Cd3 with its computed powder X-ray diffraction pattern. Radiation: Cu Kα (λ = 1.5418 Å). Structure: a GGA-PBE-relaxed structure.

Atomic structure:
Lattice parameters (Å, degrees): 4.8624 9.5716 14.5482 90.00 90.00 90.00
Space group Immm (No. 71)
Asymmetric unit:
Ba  0.0000  0.0000  0.0000 (multiplicity 2)
Ba  0.0000  0.0000  0.2989 (multiplicity 4)
Zn  0.0000  0.2788  0.1452 (multiplicity 8)
Zn  0.0000  0.3589  0.3338 (multiplicity 8)
Cd  0.0000  0.2044  0.5000 (multiplicity 4)
Cd  0.0000  0.5000  0.0000 (multiplicity 2)

Main lines, low angle first (10 to 80 degrees two-theta):
| h k l | Position (°2θ) | intensity |
| --- | --- | --- |
| 1 2 1 | 26.85 | 10 |
| 0 2 4 | 30.88 | 11 |
| 1 2 3 | 32.09 | 100 |
| 0 3 3 | 33.61 | 28 |
| 1 3 2 | 35.86 | 26 |
| 2 0 0 | 36.97 | 36 |
| 0 0 6 | 37.08 | 22 |
| 2 3 3 | 50.85 | 11 |
| 2 0 6 | 53.36 | 15 |
| 3 2 3 | 63.57 | 13 |

Entry 3:
This entry pairs a crystal structure of NdCd3C4O12 with its computed powder X-ray diffraction pattern. Radiation: Cu Kα (λ = 1.5418 Å). Structure: a GGA-PBE-relaxed structure.

Atomic structure:
Lattice parameters (Å, degrees): 10.1408 10.1408 8.9011 90.00 90.00 120.00
Space group R32 (No. 155, hexagonal axes)
Asymmetric unit:
Nd  0.0000  0.0000  0.0000 (multiplicity 3)
Cd  0.0000  0.5199  0.0000 (multiplicity 9)
C  0.0000  0.0000  0.5000 (multiplicity 3)
C  0.0000  0.4758  0.5000 (multiplicity 9)
O  0.0000  0.6028  0.5000 (multiplicity 9)
O  0.0000  0.8715  0.5000 (multiplicity 9)
O  0.0141  0.2041  0.8417 (multiplicity 18)

Main lines, low angle first (10 to 80 degrees two-theta):
| h k l | Position (°2θ) | intensity |
| --- | --- | --- |
| 0 2 1 | 22.58 | 70 |
| 2 0 2 | 28.56 | 100 |
| 2 2 0 | 35.41 | 32 |
| 4 0 1 | 42.40 | 23 |
| 0 2 4 | 45.71 | 26 |
| 0 4 2 | 46.11 | 17 |
| 2 2 3 | 47.15 | 35 |
| 2 4 1 | 56.39 | 17 |
| 4 2 2 | 59.45 | 15 |
| 2 4 4 | 70.83 | 8 |

Entry 4:
This entry pairs a crystal structure of Sm2Ho4In with its computed powder X-ray diffraction pattern. Radiation: Cu Kα (λ = 1.5418 Å). Structure: a GGA-PBE-relaxed structure.

Atomic structure:
Lattice parameters (Å, degrees): 6.2603 10.6938 6.4741 90.00 90.02 90.00
Space group P2_1/c (No. 14)
Asymmetric unit:
Sm  0.2449  0.0411  0.4990 (multiplicity 4)
Ho  0.0678  0.1547  0.9993 (multiplicity 4)
Ho  0.4040  0.7499  0.2498 (multiplicity 4)
In  0.5000  0.0000  0.0000 (multiplicity 2)

Main lines, low angle first (10 to 80 degrees two-theta):
| h k l | Position (°2θ) | intensity |
| --- | --- | --- |
| 0 3 1 | 28.58 | 40 |
| 1 3 0 | 28.82 | 39 |
| 2 1 0 | 29.74 | 52 |
| 1 0 2 | 31.10 | 37 |
| 1 3 1 | 32.03 | 56 |
| 0 2 2 | 32.29 | 100 |
| 2 1 1 | 32.87 | 86 |
| 1 2 -2 | 35.45 | 59 |
| 1 4 0 | 36.55 | 41 |
| 2 1 3 | 52.19 | 24 |

Entry 5:
This entry pairs a crystal structure of Dy2Er3Ag2 with its computed powder X-ray diffraction pattern. Radiation: Cu Kα (λ = 1.5418 Å). Structure: a GGA-PBE-relaxed structure.

Atomic structure:
Lattice parameters (Å, degrees): 29.6264 3.5755 3.5771 90.00 96.89 90.00
Space group C2/m (No. 12)
Asymmetric unit:
Dy  0.2082  0.0000  0.2082 (multiplicity 4)
Er  0.0000  0.5000  0.5000 (multiplicity 2)
Er  0.1236  0.5000  0.6233 (multiplicity 4)
Ag  0.0617  0.0000  0.0616 (multiplicity 4)

Main lines, low angle first (10 to 80 degrees two-theta):
| h k l | Position (°2θ) | intensity |
| --- | --- | --- |
| 4 0 1 | 29.22 | 16 |
| 7 1 0 | 32.89 | 100 |
| 1 1 -1 | 35.50 | 55 |
| 9 1 0 | 37.27 | 14 |
| 0 2 0 | 51.08 | 19 |
| 11 1 1 | 51.96 | 8 |
| 15 1 -1 | 56.99 | 8 |
| 17 1 0 | 59.34 | 7 |
| 9 1 -2 | 62.10 | 32 |
| 2 2 -2 | 75.14 | 6 |

Entry 6:
This entry pairs a crystal structure of Sc2RePb with its computed powder X-ray diffraction pattern. Radiation: Cu Kα (λ = 1.5418 Å). Structure: a GGA-PBE-relaxed structure.

Atomic structure:
Lattice parameters (Å, degrees): 4.6547 4.6547 3.6620 90.00 90.00 90.00
Space group P4/mmm (No. 123)
Asymmetric unit:
Sc  0.0000  0.5000  0.0000 (multiplicity 2)
Re  0.0000  0.0000  0.5000 (multiplicity 1)
Pb  0.5000  0.5000  0.5000 (multiplicity 1)

Main lines, low angle first (10 to 80 degrees two-theta):
| h k l | Position (°2θ) | intensity |
| --- | --- | --- |
| 0 0 1 | 24.31 | 27 |
| 1 1 0 | 27.09 | 42 |
| 1 1 1 | 36.71 | 100 |
| 2 0 0 | 38.69 | 43 |
| 2 0 1 | 46.22 | 21 |
| 2 2 0 | 55.87 | 15 |
| 1 1 2 | 57.61 | 11 |
| 2 0 2 | 64.79 | 19 |
| 3 1 1 | 68.73 | 32 |
| 2 2 2 | 78.08 | 11 |

> Number 2 is which compound?

Ba3Zn8Cd3

> Number 2 is which compound?

Ba3Zn8Cd3